(1)
Theoretical powder diffractogram of BaAc2Ga2Pd7 for Cu Kα X-rays, from a PBE-relaxed structure.
No peak broadening, texture or thermal motion is included.

Largest 12 diffraction maxima, most intense first, 2θ from 15° to 90°:
d 2.167, 41.68°, intensity 100.0; d 2.551, 35.17°, intensity 89.2; d 2.664, 33.64°, intensity 59.4; d 2.769, 32.33°, intensity 45.1; d 2.595, 34.56°, intensity 37.9; d 2.157, 41.88°, intensity 32.2; d 3.366, 26.48°, intensity 28.1; d 2.970, 30.09°, intensity 25.9; d 3.038, 29.40°, intensity 25.0; d 2.820, 31.73°, intensity 21.8; d 1.549, 59.70°, intensity 18.7; d 1.519, 60.99°, intensity 18.4

Structure:
Cell: 4.3413 4.3413 14.2704 Å, 96.32 96.32 88.83°
Atoms (fractional coordinates):
Ba  0.0000  0.0000  0.0000
Ac  0.1065  0.1065  0.3555
Ac  0.8935  0.8935  0.6445
Ga  0.4205  0.4205  0.7492
Ga  0.5795  0.5795  0.2508
Pd  0.0490  0.5534  0.1635
Pd  0.3779  0.3779  0.5715
Pd  0.4466  0.9510  0.8365
Pd  0.5000  0.5000  0.0000
Pd  0.5534  0.0490  0.1635
Pd  0.6221  0.6221  0.4285
Pd  0.9510  0.4466  0.8365

=====

(2)
Theoretical powder diffractogram of BaAc6Ge4 for Cu Kα X-rays, from a PBE-relaxed structure.
No peak broadening, texture or thermal motion is included.

Largest 12 diffraction maxima, most intense first, 2θ from 15° to 90°:
d 3.112, 28.68°, intensity 100.0; d 2.640, 33.96°, intensity 44.7; d 2.878, 31.08°, intensity 36.5; d 2.492, 36.04°, intensity 30.4; d 3.263, 27.33°, intensity 24.3; d 3.984, 22.31°, intensity 23.7; d 1.812, 50.35°, intensity 23.3; d 2.246, 40.16°, intensity 18.6; d 1.770, 51.63°, intensity 18.3; d 1.668, 55.05°, intensity 18.2; d 1.612, 57.15°, intensity 17.3; d 1.189, 80.82°, intensity 14.1

Structure:
Cell: 9.9688 9.9688 4.4910 Å, 90.00 90.00 120.00°
Atoms (fractional coordinates):
Ba  0.0000  0.0000  0.0000
Ac  0.1942  0.3884  0.5000
Ac  0.1942  0.8058  0.5000
Ac  0.5403  0.0806  0.0000
Ac  0.5403  0.4597  0.0000
Ac  0.6116  0.8058  0.5000
Ac  0.9194  0.4597  0.0000
Ge  0.3333  0.6667  0.0000
Ge  0.3431  0.1716  0.5000
Ge  0.8284  0.1716  0.5000
Ge  0.8284  0.6569  0.5000

=====

(3)
Theoretical powder diffractogram of BaAcGe3 for Cu Kα X-rays, from a PBE-relaxed structure.
No peak broadening, texture or thermal motion is included.

Largest 12 diffraction maxima, most intense first, 2θ from 15° to 90°:
d 3.079, 29.00°, intensity 100.0; d 2.461, 36.51°, intensity 21.5; d 3.686, 24.14°, intensity 18.6; d 2.239, 40.28°, intensity 15.8; d 2.178, 41.47°, intensity 15.1; d 1.779, 51.36°, intensity 14.5; d 2.338, 38.51°, intensity 14.0; d 3.239, 27.54°, intensity 12.9; d 1.631, 56.42°, intensity 12.2; d 1.515, 61.18°, intensity 12.1; d 3.464, 25.72°, intensity 10.9; d 2.517, 35.67°, intensity 10.7

Structure:
Cell: 14.0709 14.0709 4.3552 Å, 90.00 90.00 159.86°
Atoms (fractional coordinates):
Ba  0.0725  0.9275  0.7500
Ba  0.9275  0.0725  0.2500
Ac  0.2005  0.7995  0.2500
Ac  0.7995  0.2005  0.7500
Ge  0.3182  0.6818  0.2500
Ge  0.3770  0.6230  0.7500
Ge  0.4754  0.5246  0.7500
Ge  0.5246  0.4754  0.2500
Ge  0.6230  0.3770  0.2500
Ge  0.6818  0.3182  0.7500

=====

(4)
Theoretical powder diffractogram of BaAcInGe for Cu Kα X-rays, from a PBE-relaxed structure.
No peak broadening, texture or thermal motion is included.

Largest 12 diffraction maxima, most intense first, 2θ from 15° to 90°:
d 3.222, 27.68°, intensity 100.0; d 2.610, 34.36°, intensity 64.6; d 3.203, 27.86°, intensity 53.8; d 2.477, 36.26°, intensity 29.6; d 3.148, 28.35°, intensity 25.2; d 3.664, 24.29°, intensity 23.1; d 2.253, 40.02°, intensity 22.5; d 1.843, 49.47°, intensity 22.4; d 2.580, 34.77°, intensity 21.7; d 1.667, 55.10°, intensity 17.7; d 1.538, 60.16°, intensity 17.7; d 1.691, 54.25°, intensity 16.8

Structure:
Cell: 4.5054 6.7657 6.7657 Å, 42.96 90.00 90.00°
Atoms (fractional coordinates):
Ba  0.0000  0.0000  0.0000
Ac  0.5000  0.7200  0.7200
In  0.5000  0.4178  0.4178
Ge  0.0000  0.2752  0.2752

=====

(5)
Theoretical powder diffractogram of Ba2AcGeO5 for Cu Kα X-rays, from a PBE-relaxed structure.
No peak broadening, texture or thermal motion is included.

Largest 12 diffraction maxima, most intense first, 2θ from 15° to 90°:
d 3.075, 29.04°, intensity 100.0; d 3.168, 28.17°, intensity 41.0; d 2.817, 31.76°, intensity 38.9; d 3.912, 22.73°, intensity 31.4; d 2.232, 40.41°, intensity 25.1; d 2.487, 36.12°, intensity 24.9; d 1.956, 46.42°, intensity 24.0; d 2.224, 40.56°, intensity 23.7; d 1.810, 50.41°, intensity 23.4; d 1.820, 50.11°, intensity 16.7; d 1.409, 66.36°, intensity 14.0; d 1.694, 54.13°, intensity 13.6

Structure:
Cell: 7.0336 7.0336 6.3352 Å, 90.00 90.00 90.00°
Atoms (fractional coordinates):
Ba  0.1719  0.3281  0.0000
Ba  0.3281  0.8281  0.0000
Ba  0.6719  0.1719  0.0000
Ba  0.8281  0.6719  0.0000
Ac  0.0000  0.0000  0.5000
Ac  0.5000  0.5000  0.5000
Ge  0.0000  0.5000  0.5000
Ge  0.5000  0.0000  0.5000
O  0.0000  0.0000  0.0000
O  0.1390  0.6390  0.2966
O  0.1390  0.6390  0.7034
O  0.3610  0.1390  0.2966
O  0.3610  0.1390  0.7034
O  0.5000  0.5000  0.0000
O  0.6390  0.8610  0.2966
O  0.6390  0.8610  0.7034
O  0.8610  0.3610  0.2966
O  0.8610  0.3610  0.7034

=====

(6)
Theoretical powder diffractogram of BaAc2Zn2Ge2 for Cu Kα X-rays, from a PBE-relaxed structure.
No peak broadening, texture or thermal motion is included.

Largest 12 diffraction maxima, most intense first, 2θ from 15° to 90°:
d 2.996, 29.83°, intensity 100.0; d 3.135, 28.47°, intensity 67.8; d 2.180, 41.41°, intensity 63.7; d 3.759, 23.67°, intensity 36.1; d 1.677, 54.74°, intensity 27.0; d 3.526, 25.26°, intensity 25.8; d 1.763, 51.86°, intensity 21.7; d 1.371, 68.44°, intensity 19.0; d 2.623, 34.18°, intensity 17.5; d 2.725, 32.87°, intensity 17.0; d 2.362, 38.10°, intensity 13.9; d 1.790, 51.02°, intensity 13.6

Structure:
Cell: 13.3566 13.3566 13.3566 Å, 18.79 18.79 18.79°
Atoms (fractional coordinates):
Ba  0.0000  0.0000  0.0000
Ac  0.1212  0.1212  0.1212
Ac  0.8788  0.8788  0.8788
Zn  0.3993  0.3993  0.3993
Zn  0.6007  0.6007  0.6007
Ge  0.2694  0.2694  0.2694
Ge  0.7306  0.7306  0.7306

=====

(7)
Theoretical powder diffractogram of Ba2AcHfO6 for Cu Kα X-rays, from a PBE-relaxed structure.
No peak broadening, texture or thermal motion is included.

Largest 12 diffraction maxima, most intense first, 2θ from 15° to 90°:
d 3.161, 28.23°, intensity 100.0; d 1.825, 49.97°, intensity 42.2; d 2.235, 40.35°, intensity 27.9; d 1.195, 80.36°, intensity 22.4; d 1.414, 66.09°, intensity 19.1; d 1.581, 58.38°, intensity 18.2; d 4.471, 19.86°, intensity 8.4; d 1.291, 73.36°, intensity 6.0; d 1.999, 45.36°, intensity 3.9; d 1.118, 87.22°, intensity 2.9; d 1.490, 62.30°, intensity 1.8; d 1.240, 76.89°, intensity 0.8

Structure:
Cell: 6.3226 6.3226 6.3226 Å, 60.00 60.00 60.00°
Atoms (fractional coordinates):
Ba  0.2500  0.2500  0.2500
Ba  0.7500  0.7500  0.7500
Ac  0.0000  0.0000  0.0000
Hf  0.5000  0.5000  0.5000
O  0.2675  0.2675  0.7325
O  0.2675  0.7325  0.2675
O  0.2675  0.7325  0.7325
O  0.7325  0.2675  0.2675
O  0.7325  0.2675  0.7325
O  0.7325  0.7325  0.2675

=====

(8)
Theoretical powder diffractogram of BaAc2Hg4 for Cu Kα X-rays, from a PBE-relaxed structure.
No peak broadening, texture or thermal motion is included.

Largest 12 diffraction maxima, most intense first, 2θ from 15° to 90°:
d 2.801, 31.95°, intensity 100.0; d 2.895, 30.89°, intensity 51.5; d 4.806, 18.46°, intensity 30.2; d 2.421, 37.14°, intensity 28.9; d 1.617, 56.93°, intensity 19.9; d 3.714, 23.96°, intensity 19.7; d 1.635, 56.27°, intensity 19.4; d 2.013, 45.03°, intensity 18.6; d 2.308, 39.03°, intensity 17.5; d 1.603, 57.51°, intensity 13.0; d 2.110, 42.87°, intensity 12.6; d 1.391, 67.30°, intensity 12.5

Structure:
Cell: 10.1495 10.1495 10.1495 Å, 32.04 32.04 32.04°
Atoms (fractional coordinates):
Ba  0.0000  0.0000  0.0000
Ac  0.2334  0.2334  0.2334
Ac  0.7666  0.7666  0.7666
Hg  0.1196  0.1196  0.1196
Hg  0.3996  0.3996  0.3996
Hg  0.6004  0.6004  0.6004
Hg  0.8804  0.8804  0.8804

=====

(9)
Theoretical powder diffractogram of BaAcHg6 for Cu Kα X-rays, from a PBE-relaxed structure.
No peak broadening, texture or thermal motion is included.

Largest 12 diffraction maxima, most intense first, 2θ from 15° to 90°:
d 2.699, 33.19°, intensity 100.0; d 2.627, 34.13°, intensity 29.5; d 3.121, 28.60°, intensity 16.8; d 1.557, 59.35°, intensity 14.4; d 1.472, 63.14°, intensity 11.6; d 2.040, 44.41°, intensity 10.4; d 1.758, 52.02°, intensity 10.2; d 1.499, 61.90°, intensity 10.2; d 1.511, 61.36°, intensity 9.6; d 3.009, 29.69°, intensity 7.9; d 1.825, 49.97°, intensity 7.8; d 1.543, 59.97°, intensity 6.0

Structure:
Cell: 5.3900 7.3001 6.0181 Å, 90.00 90.00 90.00°
Atoms (fractional coordinates):
Ba  0.0000  0.0000  0.0000
Ac  0.5000  0.5000  0.2816
Hg  0.0000  0.2626  0.4837
Hg  0.0000  0.5000  0.9390
Hg  0.0000  0.7374  0.4837
Hg  0.5000  0.0000  0.3804
Hg  0.5000  0.2623  0.7977
Hg  0.5000  0.7377  0.7977

=====

(10)
Theoretical powder diffractogram of BaAcHg6 for Cu Kα X-rays, from a PBE-relaxed structure.
No peak broadening, texture or thermal motion is included.

Largest 12 diffraction maxima, most intense first, 2θ from 15° to 90°:
d 2.688, 33.33°, intensity 100.0; d 3.123, 28.58°, intensity 24.6; d 2.641, 33.94°, intensity 22.2; d 1.489, 62.36°, intensity 20.4; d 1.803, 50.63°, intensity 18.9; d 1.534, 60.35°, intensity 18.6; d 2.017, 44.95°, intensity 14.7; d 1.497, 61.97°, intensity 14.6; d 1.152, 83.99°, intensity 8.0; d 1.168, 82.58°, intensity 6.8; d 1.320, 71.44°, intensity 4.6; d 1.344, 69.99°, intensity 4.6

Structure:
Cell: 5.2822 7.2099 7.2099 Å, 60.07 90.00 90.00°
Atoms (fractional coordinates):
Ba  0.0000  0.0000  0.0000
Ac  0.5000  0.6769  0.6769
Hg  0.0000  0.0252  0.4893
Hg  0.0000  0.4893  0.0252
Hg  0.0000  0.5021  0.5021
Hg  0.5000  0.1848  0.1848
Hg  0.5000  0.1949  0.6331
Hg  0.5000  0.6331  0.1949

=====

(11)
Theoretical powder diffractogram of BaAc2Hg8 for Cu Kα X-rays, from a PBE-relaxed structure.
No peak broadening, texture or thermal motion is included.

Largest 12 diffraction maxima, most intense first, 2θ from 15° to 90°:
d 2.674, 33.51°, intensity 100.0; d 2.900, 30.84°, intensity 74.1; d 2.819, 31.74°, intensity 56.5; d 2.601, 34.48°, intensity 52.9; d 2.913, 30.69°, intensity 46.2; d 2.618, 34.25°, intensity 33.6; d 2.219, 40.65°, intensity 28.8; d 2.889, 30.95°, intensity 23.5; d 1.522, 60.86°, intensity 22.0; d 1.726, 53.05°, intensity 17.1; d 2.346, 38.37°, intensity 16.8; d 1.515, 61.17°, intensity 16.0

Structure:
Cell: 9.5452 9.5452 5.6409 Å, 106.98 106.98 124.59°
Atoms (fractional coordinates):
Ba  0.0000  0.0000  0.0000
Ac  0.3100  0.6900  0.5000
Ac  0.6900  0.3100  0.5000
Hg  0.0968  0.3611  0.7340
Hg  0.2043  0.7957  0.0000
Hg  0.3611  0.0968  0.7340
Hg  0.4705  0.4705  0.7233
Hg  0.5295  0.5295  0.2767
Hg  0.6389  0.9032  0.2660
Hg  0.7957  0.2043  0.0000
Hg  0.9032  0.6389  0.2660

=====

(12)
Theoretical powder diffractogram of Ba2AcHgO4 for Cu Kα X-rays, from a PBE-relaxed structure.
No peak broadening, texture or thermal motion is included.

Largest 12 diffraction maxima, most intense first, 2θ from 15° to 90°:
d 3.182, 28.04°, intensity 100.0; d 2.651, 33.81°, intensity 45.4; d 1.989, 45.60°, intensity 37.1; d 3.010, 29.68°, intensity 30.3; d 1.615, 57.02°, intensity 29.4; d 1.769, 51.67°, intensity 21.3; d 1.591, 57.96°, intensity 18.1; d 1.875, 48.57°, intensity 16.1; d 1.287, 73.62°, intensity 15.4; d 1.103, 88.67°, intensity 11.5; d 1.309, 72.18°, intensity 8.8; d 1.213, 78.91°, intensity 7.4

Structure:
Cell: 7.0919 7.0919 7.0919 Å, 136.10 136.10 63.83°
Atoms (fractional coordinates):
Ba  0.2500  0.7500  0.5000
Ba  0.7500  0.2500  0.5000
Ac  0.0000  0.0000  0.0000
Hg  0.5000  0.5000  0.0000
O  0.0000  0.5000  0.5000
O  0.2036  0.2036  0.0000
O  0.5000  0.0000  0.5000
O  0.7964  0.7964  0.0000